Diffraction record for Cs2Nb4Se7. The XRD peak list is computed, not measured: it uses a structure optimized by DFT (PBE) and Cu Kα, 1.54184 Å.

Main lines, by angle (10 to 80 degrees two-theta):
3.641 Å, intensity 62
3.415 Å, intensity 64
3.203 Å, intensity 83
2.746 Å, intensity 100
1.971 Å, intensity 76
1.913 Å, intensity 81

Structural model:
```
data_Cs2Nb4Se7
_cell_length_a 6.8291
_cell_length_b 6.8291
_cell_length_c 9.2403
_cell_angle_alpha 90.00
_cell_angle_beta 90.00
_cell_angle_gamma 120.00
_space_group_name_H-M_alt 'P -3 1 m'
_space_group_IT_number 162
_space_group_name_Hall '-P 3 2'
loop_
_atom_site_label
_atom_site_type_symbol
_atom_site_fract_x
_atom_site_fract_y
_atom_site_fract_z
Cs1 Cs 0.3333 0.6667 0.0000
Nb1 Nb 0.0000 0.0000 0.2676
Nb2 Nb 0.3333 0.6667 0.5000
Se1 Se 0.0000 0.0000 0.0000
Se2 Se 0.0000 0.3571 0.3339
```


Diffraction record for Cs2SrNbSe4. The XRD peak list is computed, not measured: it uses a structure optimized by DFT (PBE) and Cu Kα, 1.54184 Å.

Main lines, by angle (10 to 80 degrees two-theta):
4.142 Å, intensity 15
3.730 Å, intensity 100
3.459 Å, intensity 28
2.929 Å, intensity 30
2.303 Å, intensity 43
2.088 Å, intensity 31

Structural model:
```
data_Cs2SrNbSe4
_cell_length_a 8.283
_cell_length_b 8.283
_cell_length_c 9.674
_cell_angle_alpha 90.00
_cell_angle_beta 90.00
_cell_angle_gamma 90.00
_space_group_name_H-M_alt 'I -4'
_space_group_IT_number 82
_space_group_name_Hall 'I -4'
loop_
_atom_site_label
_atom_site_type_symbol
_atom_site_fract_x
_atom_site_fract_y
_atom_site_fract_z
Cs1 Cs 0.000 0.000 0.000
Cs2 Cs 0.000 0.500 0.250
Sr1 Sr 0.000 0.000 0.500
Nb1 Nb 0.000 0.500 0.750
Se1 Se 0.155 0.294 0.619
```